For MgPb3, a PBE-relaxed structure gives the theoretical powder XRD pattern in this record (Cu Kα).
Peak positions follow from Bragg's law for the DFT cell and can differ from measured ones.

Principal peaks in the range 10 to 80 degrees two-theta, in order of rising 2θ:
2θ 29.07, I 30
2θ 30.22, I 18
2θ 32.67, I 21
2θ 33.44, I 100
2θ 44.29, I 16
2θ 51.18, I 12
2θ 51.54, I 20
2θ 58.80, I 15
2θ 62.37, I 20
2θ 62.84, I 17

Structural model:
a b c (Å): 3.546 3.546 10.965
angles (deg): 90.00 90.00 120.00
Fractional coordinates of all 4 atoms:
1 Mg 0.000 0.000 0.000
2 Pb 0.000 0.000 0.500
3 Pb 0.333 0.667 0.232
4 Pb 0.333 0.667 0.768

***

For Mg5Pb, a PBE-relaxed structure gives the theoretical powder XRD pattern in this record (Cu Kα).
Peak positions follow from Bragg's law for the DFT cell and can differ from measured ones.

Principal peaks in the range 10 to 80 degrees two-theta, in order of rising 2θ:
2θ 11.97, I 100
2θ 15.58, I 57
2θ 16.95, I 49
2θ 22.11, I 28
2θ 27.85, I 32
2θ 29.55, I 27
2θ 31.25, I 38
2θ 34.30, I 32
2θ 35.68, I 56
2θ 35.82, I 63

Structural model:
a b c (Å): 11.798 3.338 7.669
angles (deg): 90.00 105.43 90.00
Fractional coordinates of all 12 atoms:
1 Mg 0.000 0.000 0.000
2 Mg 0.053 0.000 0.605
3 Mg 0.166 0.500 0.336
4 Mg 0.337 0.000 0.660
5 Mg 0.392 0.000 0.279
6 Mg 0.500 0.500 0.000
7 Mg 0.553 0.500 0.605
8 Mg 0.666 0.000 0.336
9 Mg 0.837 0.500 0.660
10 Mg 0.892 0.500 0.279
11 Pb 0.223 0.500 0.944
12 Pb 0.723 0.000 0.944

***

For MgRh2Pb, a PBE-relaxed structure gives the theoretical powder XRD pattern in this record (Cu Kα).
Peak positions follow from Bragg's law for the DFT cell and can differ from measured ones.

Principal peaks in the range 10 to 80 degrees two-theta, in order of rising 2θ:
2θ 23.81, I 39
2θ 39.38, I 100
2θ 46.54, I 21
2θ 56.91, I 17
2θ 62.56, I 9
2θ 71.40, I 35
2θ 76.47, I 7

Structural model:
a b c (Å): 6.472 6.472 6.472
angles (deg): 90.00 90.00 90.00
Fractional coordinates of all 16 atoms:
1 Mg 0.000 0.000 0.000
2 Mg 0.000 0.500 0.500
3 Mg 0.500 0.000 0.500
4 Mg 0.500 0.500 0.000
5 Rh 0.250 0.250 0.250
6 Rh 0.250 0.250 0.750
7 Rh 0.250 0.750 0.250
8 Rh 0.250 0.750 0.750
9 Rh 0.750 0.250 0.250
10 Rh 0.750 0.250 0.750
11 Rh 0.750 0.750 0.250
12 Rh 0.750 0.750 0.750
13 Pb 0.000 0.000 0.500
14 Pb 0.000 0.500 0.000
15 Pb 0.500 0.000 0.000
16 Pb 0.500 0.500 0.500

***

For Mg2TlPb, a PBE-relaxed structure gives the theoretical powder XRD pattern in this record (Cu Kα).
Peak positions follow from Bragg's law for the DFT cell and can differ from measured ones.

Principal peaks in the range 10 to 80 degrees two-theta, in order of rising 2θ:
2θ 23.79, I 72
2θ 33.90, I 100
2θ 41.84, I 23
2θ 48.70, I 18
2θ 54.90, I 31
2θ 60.65, I 38
2θ 71.33, I 12
2θ 76.40, I 15

Structural model:
a b c (Å): 7.480 7.480 7.480
angles (deg): 90.00 90.00 90.00
Fractional coordinates of all 16 atoms:
1 Mg 0.250 0.250 0.250
2 Mg 0.250 0.250 0.750
3 Mg 0.250 0.750 0.250
4 Mg 0.250 0.750 0.750
5 Mg 0.750 0.250 0.250
6 Mg 0.750 0.250 0.750
7 Mg 0.750 0.750 0.250
8 Mg 0.750 0.750 0.750
9 Tl 0.000 0.000 0.000
10 Tl 0.000 0.500 0.500
11 Tl 0.500 0.000 0.500
12 Tl 0.500 0.500 0.000
13 Pb 0.000 0.000 0.500
14 Pb 0.000 0.500 0.000
15 Pb 0.500 0.000 0.000
16 Pb 0.500 0.500 0.500

***

For Mg2PbW, a PBE-relaxed structure gives the theoretical powder XRD pattern in this record (Cu Kα).
Peak positions follow from Bragg's law for the DFT cell and can differ from measured ones.

Principal peaks in the range 10 to 80 degrees two-theta, in order of rising 2θ:
2θ 22.34, I 68
2θ 36.88, I 100
2θ 43.55, I 37
2θ 53.15, I 18
2θ 58.35, I 16
2θ 66.45, I 36
2θ 71.06, I 12
2θ 78.49, I 11

Structural model:
a b c (Å): 6.893 6.893 6.893
angles (deg): 90.00 90.00 90.00
Fractional coordinates of all 16 atoms:
1 Mg 0.000 0.000 0.000
2 Mg 0.000 0.500 0.500
3 Mg 0.250 0.250 0.250
4 Mg 0.250 0.750 0.750
5 Mg 0.500 0.000 0.500
6 Mg 0.500 0.500 0.000
7 Mg 0.750 0.250 0.750
8 Mg 0.750 0.750 0.250
9 Pb 0.250 0.250 0.750
10 Pb 0.250 0.750 0.250
11 Pb 0.750 0.250 0.250
12 Pb 0.750 0.750 0.750
13 W 0.000 0.000 0.500
14 W 0.000 0.500 0.000
15 W 0.500 0.000 0.000
16 W 0.500 0.500 0.500

***

For MgPd, a PBE-relaxed structure gives the theoretical powder XRD pattern in this record (Cu Kα).
Peak positions follow from Bragg's law for the DFT cell and can differ from measured ones.

Principal peaks in the range 10 to 80 degrees two-theta, in order of rising 2θ:
2θ 27.98, I 50
2θ 39.98, I 100
2θ 49.51, I 14
2θ 57.83, I 17
2θ 65.44, I 17
2θ 72.62, I 33

Structural model:
a b c (Å): 3.189 3.189 3.189
angles (deg): 90.00 90.00 90.00
Fractional coordinates of all 2 atoms:
1 Mg 0.000 0.000 0.000
2 Pd 0.500 0.500 0.500

***

For Mg2Pd, a PBE-relaxed structure gives the theoretical powder XRD pattern in this record (Cu Kα).
Peak positions follow from Bragg's law for the DFT cell and can differ from measured ones.

Principal peaks in the range 10 to 80 degrees two-theta, in order of rising 2θ:
2θ 17.56, I 65
2θ 28.63, I 54
2θ 38.32, I 100
2θ 38.86, I 50
2θ 42.94, I 26
2θ 53.26, I 19
2θ 56.12, I 17
2θ 64.21, I 11
2θ 68.94, I 15
2θ 70.00, I 32

Structural model:
a b c (Å): 3.278 3.278 10.102
angles (deg): 90.00 90.00 90.00
Fractional coordinates of all 6 atoms:
1 Mg 0.000 0.000 0.148
2 Mg 0.000 0.000 0.852
3 Mg 0.500 0.500 0.352
4 Mg 0.500 0.500 0.648
5 Pd 0.000 0.000 0.500
6 Pd 0.500 0.500 0.000

***

For Mg2Pd, a PBE-relaxed structure gives the theoretical powder XRD pattern in this record (Cu Kα).
Peak positions follow from Bragg's law for the DFT cell and can differ from measured ones.

Principal peaks in the range 10 to 80 degrees two-theta, in order of rising 2θ:
2θ 12.63, I 49
2θ 25.41, I 56
2θ 29.43, I 20
2θ 38.53, I 100
2θ 42.10, I 28
2θ 44.79, I 20
2θ 53.93, I 16
2θ 65.20, I 19
2θ 71.17, I 19
2θ 78.36, I 14

Structural model:
a b c (Å): 8.585 8.585 8.585
angles (deg): 60.00 60.00 60.00
Fractional coordinates of all 24 atoms:
1 Mg 0.000 0.000 0.000
2 Mg 0.000 0.000 0.500
3 Mg 0.000 0.500 0.000
4 Mg 0.181 0.181 0.569
5 Mg 0.181 0.569 0.181
6 Mg 0.181 0.569 0.569
7 Mg 0.431 0.431 0.819
8 Mg 0.431 0.819 0.431
9 Mg 0.431 0.819 0.819
10 Mg 0.500 0.000 0.000
11 Mg 0.569 0.181 0.181
12 Mg 0.569 0.181 0.569
13 Mg 0.569 0.569 0.181
14 Mg 0.819 0.431 0.431
15 Mg 0.819 0.431 0.819
16 Mg 0.819 0.819 0.431
17 Pd 0.152 0.783 0.783
18 Pd 0.217 0.217 0.217
19 Pd 0.217 0.217 0.848
20 Pd 0.217 0.848 0.217
21 Pd 0.783 0.152 0.783
22 Pd 0.783 0.783 0.152
23 Pd 0.783 0.783 0.783
24 Pd 0.848 0.217 0.217